For Tb2PmSm4, a cell relaxed with PBE gives the theoretical powder X-ray diffraction pattern in this record (Cu Kα X-rays).

Cell and atoms:
Lattice parameters (Å, degrees): 3.5695 5.7931 23.0021 90.00 90.00 90.00
Space group Immm (No. 71)
Unique sites:
Tb 0.0000 0.0000 0.2252 (multiplicity 4)
Pm 0.0000 0.0000 0.5000 (multiplicity 2)
Sm 0.0000 0.5000 0.1374 (multiplicity 4)
Sm 0.0000 0.5000 0.4132 (multiplicity 4)

Top 10 peaks for 2θ from 10° to 80°, low angle first:
hkl 1 0 3, 27.56 deg, I 305
hkl 0 2 0, 30.87 deg, I 467
hkl 0 1 7, 31.30 deg, I 723
hkl 1 1 4, 33.35 deg, I 1000
hkl 1 2 3, 41.86 deg, I 199
hkl 1 0 11, 50.59 deg, I 233
hkl 0 3 7, 55.17 deg, I 147
hkl 1 3 4, 56.50 deg, I 223
hkl 1 2 11, 60.45 deg, I 268
hkl 2 1 7, 61.23 deg, I 213